Entry 1:
Simulated powder diffraction line list of BiPd6Pb for copper Kα, from a structure optimized by DFT (PBE).
Neutral-atom scattering factors, no anomalous dispersion.

Atomic structure:
```
BiPd6Pb
1.0
4.131 0.000 0.000
0.000 4.131 0.000
0.000 0.000 8.259
Bi Pd Pb
1 6 1
direct
0.000 0.000 0.000 Bi
0.000 0.500 0.250 Pd
0.000 0.500 0.750 Pd
0.500 0.000 0.250 Pd
0.500 0.000 0.750 Pd
0.500 0.500 0.000 Pd
0.500 0.500 0.500 Pd
0.000 0.000 0.500 Pb
```

The 10 most intense peaks (10 to 90 degrees two-theta), by angle:
- 2θ = 21.51°, I 10, (1 0 0)
- 2θ = 30.61°, I 9, (1 1 0)
- 2θ = 37.72°, I 100, (1 1 2)
- 2θ = 43.83°, I 49, (2 0 0)
- 2θ = 49.33°, I 5, (2 1 0)
- 2θ = 54.41°, I 4, (2 1 2)
- 2θ = 63.72°, I 32, (2 2 0)
- 2θ = 68.10°, I 3, (3 0 0)
- 2θ = 76.48°, I 38, (3 1 2)
- 2θ = 80.56°, I 11, (2 2 4)

=====

Entry 2:
Simulated powder diffraction line list of CaSn4S9 for copper Kα, from a structure optimized by DFT (PBE).
Neutral-atom scattering factors, no anomalous dispersion.

Atomic structure:
```
CaSn4S9
1.0
3.870 0.000 0.000
0.000 22.276 0.000
0.000 0.000 9.861
Ca Sn S
2 8 18
direct
0.250 0.250 0.085 Ca
0.750 0.750 0.915 Ca
0.250 0.598 0.680 Sn
0.250 0.650 0.272 Sn
0.250 0.850 0.272 Sn
0.250 0.902 0.680 Sn
0.750 0.098 0.320 Sn
0.750 0.150 0.728 Sn
0.750 0.350 0.728 Sn
0.750 0.402 0.320 Sn
0.250 0.031 0.334 S
0.250 0.098 0.821 S
0.250 0.402 0.821 S
0.250 0.469 0.334 S
0.250 0.662 0.873 S
0.250 0.678 0.507 S
0.250 0.750 0.151 S
0.250 0.822 0.507 S
0.250 0.838 0.873 S
0.750 0.162 0.127 S
0.750 0.178 0.493 S
0.750 0.250 0.849 S
0.750 0.322 0.493 S
0.750 0.338 0.127 S
0.750 0.531 0.666 S
0.750 0.598 0.179 S
0.750 0.902 0.179 S
0.750 0.969 0.666 S
```

The 10 most intense peaks (10 to 90 degrees two-theta), by angle:
- 2θ = 15.91°, I 100, (0 4 0)
- 2θ = 17.99°, I 85, (0 0 2)
- 2θ = 21.64°, I 43, (0 3 2)
- 2θ = 21.89°, I 41, (0 5 1)
- 2θ = 23.33°, I 96, (1 1 0)
- 2θ = 24.11°, I 54, (0 4 2)
- 2θ = 30.60°, I 51, (1 5 0)
- 2θ = 34.70°, I 58, (1 6 1)
- 2θ = 46.08°, I 39, (0 0 5)
- 2θ = 48.02°, I 55, (1 10 1)